# 1
Computed PXRD pattern
Compound: KVH4O7
Radiation: Cu Kα, 1.54184 Å
Structure: a DFT-relaxed cell (PBE+U, the Materials Project)
Neutral-atom scattering factors, no anomalous dispersion.

Crystal structure
abc: 6.5733 7.5121 7.9472
angles: 67.59 67.43 83.87
Element x y z (fractional)
K (0.0000, 0.0000, 0.0000)
K (0.1800, 0.4115, 0.4344)
V (0.5195, 0.2186, 0.8736)
V (0.6755, 0.0060, 0.5719)
H (0.0944, 0.5549, 0.0575)
H (0.1386, 0.8160, 0.5284)
H (0.3524, 0.8569, 0.3280)
H (0.4318, 0.7472, 0.5754)
H (0.5672, 0.6760, 0.0538)
H (0.6177, 0.6244, 0.6663)
H (0.6458, 0.4754, 0.0448)
H (0.8464, 0.5731, 0.1707)
O (0.2772, 0.7609, 0.4623)
O (0.2875, 0.3190, 0.9564)
O (0.3776, 0.0886, 0.6264)
O (0.4472, 0.9515, 0.9528)
O (0.5195, 0.2370, 0.6094)
O (0.5340, 0.7477, 0.6457)
O (0.5346, 0.9882, 0.0820)
O (0.5913, 0.5466, 0.1358)
O (0.7386, 0.4270, 0.6966)
O (0.7460, 0.3402, 0.8930)
O (0.7919, 0.0697, 0.3343)
O (0.8830, 0.8640, 0.6834)
O (0.8855, 0.0680, 0.6533)
O (0.9962, 0.6014, 0.1592)

Principal peaks in the range 10 to 80 degrees two-theta, in order of rising 2θ:
| Position (°2θ) | d/Å | intensity | (hkl) |
| --- | --- | --- | --- |
| 12.76 | 6.937 | 100.0 | 0 1 0 |
| 12.99 | 6.816 | 55.9 | 0 0 1 |
| 14.45 | 6.128 | 21.5 | 0 1 1 |
| 14.61 | 6.063 | 47.4 | 1 0 0 |
| 15.52 | 5.711 | 40.2 | 1 0 1 |
| 19.89 | 4.464 | 34.3 | 1 1 0 |
| 21.40 | 4.153 | 25.7 | 0 1 -1 |
| 22.65 | 3.925 | 43.6 | 1 -1 1 |
| 23.49 | 3.788 | 23.1 | -1 1 1 |
| 24.46 | 3.639 | 42.9 | 0 1 2 |
| 28.51 | 3.131 | 24.9 | 1 2 2 |
| 30.24 | 2.955 | 32.3 | 1 2 0 |

# 2
Computed PXRD pattern
Compound: KVHO3
Radiation: Cu Kα, 1.54184 Å
Structure: a DFT-relaxed cell (PBE+U, the Materials Project)
Neutral-atom scattering factors, no anomalous dispersion.

Crystal structure
abc: 8.1147 3.7565 13.7162
angles: 90.00 90.00 90.00
Element x y z (fractional)
K (0.2486, 0.2500, 0.2310)
K (0.2514, 0.7500, 0.7310)
K (0.7486, 0.2500, 0.2690)
K (0.7514, 0.7500, 0.7690)
V (0.0743, 0.2500, 0.9189)
V (0.4257, 0.7500, 0.4189)
V (0.5743, 0.2500, 0.5811)
V (0.9257, 0.7500, 0.0811)
H (0.1150, 0.2500, 0.5848)
H (0.3850, 0.7500, 0.0848)
H (0.6150, 0.2500, 0.9152)
H (0.8850, 0.7500, 0.4152)
O (0.0117, 0.7500, 0.1941)
O (0.0348, 0.7500, 0.9499)
O (0.2227, 0.7500, 0.4037)
O (0.2773, 0.2500, 0.9037)
O (0.4652, 0.2500, 0.4499)
O (0.4883, 0.2500, 0.6941)
O (0.5117, 0.7500, 0.3059)
O (0.5348, 0.7500, 0.5501)
O (0.7227, 0.7500, 0.0963)
O (0.7773, 0.2500, 0.5963)
O (0.9652, 0.2500, 0.0501)
O (0.9883, 0.2500, 0.8059)

Principal peaks in the range 10 to 80 degrees two-theta, in order of rising 2θ:
| Position (°2θ) | d/Å | intensity | (hkl) |
| --- | --- | --- | --- |
| 12.67 | 6.984 | 100.0 | 1 0 1 |
| 16.93 | 5.238 | 10.5 | 1 0 2 |
| 25.51 | 3.492 | 13.4 | 2 0 2 |
| 26.95 | 3.308 | 10.7 | 1 1 1 |
| 28.25 | 3.159 | 12.2 | 1 0 4 |
| 29.26 | 3.053 | 9.5 | 1 1 2 |
| 29.43 | 3.035 | 7.3 | 2 0 3 |
| 30.81 | 2.902 | 23.3 | 0 1 3 |
| 33.15 | 2.702 | 17.3 | 2 1 1 |
| 38.12 | 2.361 | 6.5 | 2 1 3 |
| 39.42 | 2.286 | 6.9 | 0 0 6 |
| 48.47 | 1.878 | 7.9 | 0 2 0 |

# 3
Computed PXRD pattern
Compound: KVH4O7
Radiation: Cu Kα, 1.54184 Å
Structure: a DFT-relaxed cell (PBE+U, the Materials Project)
Neutral-atom scattering factors, no anomalous dispersion.

Crystal structure
abc: 6.4447 7.6389 7.7392
angles: 77.07 84.22 68.73
Element x y z (fractional)
K (0.0000, 0.0000, 0.0000)
K (0.1523, 0.4289, 0.3106)
V (0.4806, 0.8509, 0.3043)
V (0.6614, 0.5145, 0.9939)
H (0.0100, 0.4933, 0.7807)
H (0.0190, 0.9525, 0.4916)
H (0.4977, 0.3568, 0.8382)
H (0.5967, 0.7823, 0.6305)
H (0.6588, 0.4022, 0.6741)
H (0.7048, 0.9442, 0.5328)
H (0.7976, 0.1567, 0.4713)
H (0.9328, 0.7029, 0.8035)
O (0.2472, 0.7956, 0.4560)
O (0.2521, 0.7607, 0.2787)
O (0.3514, 0.5396, 0.0056)
O (0.3799, 0.0817, 0.2186)
O (0.3802, 0.7120, 0.8882)
O (0.5728, 0.8930, 0.5329)
O (0.6064, 0.3787, 0.3920)
O (0.6403, 0.7555, 0.0942)
O (0.6444, 0.5016, 0.4750)
O (0.6547, 0.3406, 0.8079)
O (0.7864, 0.7664, 0.2238)
O (0.8712, 0.0255, 0.5453)
O (0.8768, 0.6063, 0.7838)
O (0.8874, 0.3481, 0.1007)

Principal peaks in the range 10 to 80 degrees two-theta, in order of rising 2θ:
| Position (°2θ) | d/Å | intensity | (hkl) |
| --- | --- | --- | --- |
| 11.73 | 7.541 | 100.0 | 0 0 1 |
| 12.70 | 6.972 | 57.9 | 0 1 0 |
| 14.75 | 6.004 | 29.0 | 1 0 0 |
| 15.74 | 5.630 | 45.3 | 1 1 0 |
| 19.04 | 4.660 | 32.7 | 0 1 -1 |
| 21.36 | 4.161 | 35.5 | 1 1 -1 |
| 25.91 | 3.439 | 52.3 | 1 1 2 |
| 26.65 | 3.345 | 21.9 | 1 -1 1 |
| 30.20 | 2.959 | 17.5 | 1 2 2 |
| 30.86 | 2.897 | 18.4 | 1 1 -2 |
| 38.74 | 2.324 | 17.3 | 1 3 2 |
| 39.04 | 2.307 | 18.4 | 2 1 -2 |

# 4
Computed PXRD pattern
Compound: KVH4O7
Radiation: Cu Kα, 1.54184 Å
Structure: a DFT-relaxed cell (PBE+U, the Materials Project)
Neutral-atom scattering factors, no anomalous dispersion.

Crystal structure
abc: 6.5764 7.7222 7.7507
angles: 73.95 66.30 84.60
Element x y z (fractional)
K (0.0000, 0.0000, 0.0000)
K (0.1851, 0.4097, 0.4373)
V (0.5087, 0.2298, 0.9153)
V (0.6819, 0.0563, 0.5627)
H (0.0320, 0.5636, 0.9775)
H (0.1432, 0.8776, 0.5302)
H (0.2748, 0.5760, 0.8459)
H (0.3574, 0.9148, 0.3190)
H (0.4477, 0.8121, 0.5271)
H (0.5506, 0.7094, 0.0757)
H (0.6146, 0.7053, 0.6523)
H (0.6269, 0.5112, 0.0692)
O (0.1451, 0.6520, 0.8788)
O (0.2670, 0.3056, 0.0367)
O (0.2870, 0.8291, 0.4513)
O (0.3725, 0.1120, 0.6380)
O (0.4524, 0.9789, 0.9597)
O (0.4939, 0.2559, 0.6490)
O (0.5433, 0.0127, 0.0932)
O (0.5605, 0.5907, 0.1582)
O (0.5925, 0.8148, 0.5620)
O (0.6994, 0.4359, 0.7551)
O (0.7341, 0.3514, 0.9358)
O (0.8071, 0.1364, 0.3281)
O (0.8728, 0.1151, 0.6696)
O (0.8868, 0.9258, 0.6665)

Principal peaks in the range 10 to 80 degrees two-theta, in order of rising 2θ:
| Position (°2θ) | d/Å | intensity | (hkl) |
| --- | --- | --- | --- |
| 11.93 | 7.420 | 100.0 | 0 1 0 |
| 12.93 | 6.849 | 29.0 | 0 0 1 |
| 14.71 | 6.021 | 24.2 | 1 0 0 |
| 15.31 | 5.788 | 13.7 | 1 0 1 |
| 19.16 | 4.631 | 22.6 | 1 1 0 |
| 21.30 | 4.172 | 38.8 | 1 -1 1 |
| 24.36 | 3.654 | 12.1 | -1 1 1 |
| 25.64 | 3.475 | 16.8 | 0 1 2 |
| 26.02 | 3.425 | 16.1 | 0 0 2 |
| 28.50 | 3.131 | 12.6 | 1 2 0 |
| 29.34 | 3.044 | 17.7 | 1 2 2 |
| 30.75 | 2.908 | 15.4 | -1 2 1 |

# 5
Computed PXRD pattern
Compound: LaP3H3WO9
Radiation: Cu Kα, 1.54184 Å
Structure: a DFT-relaxed cell (PBE+U, the Materials Project)
Neutral-atom scattering factors, no anomalous dispersion.

Crystal structure
abc: 7.6265 8.5878 8.6638
angles: 66.28 70.92 81.49
Element x y z (fractional)
La (0.2052, 0.4992, 0.1364)
La (0.7948, 0.5008, 0.8636)
P (0.0266, 0.8033, 0.3805)
P (0.3481, 0.4542, 0.7592)
P (0.4915, 0.8936, 0.8055)
P (0.5085, 0.1064, 0.1945)
P (0.6519, 0.5458, 0.2408)
P (0.9734, 0.1967, 0.6195)
H (0.1961, 0.8748, 0.3681)
H (0.3674, 0.3051, 0.7252)
H (0.4290, 0.9323, 0.9579)
H (0.5710, 0.0677, 0.0421)
H (0.6326, 0.6949, 0.2748)
H (0.8039, 0.1252, 0.6319)
W (0.2666, 0.8485, 0.5820)
W (0.7334, 0.1515, 0.4180)
O (0.0380, 0.3289, 0.4328)
O (0.0926, 0.7374, 0.2328)
O (0.0962, 0.0362, 0.6572)
O (0.1488, 0.4611, 0.8855)
O (0.3245, 0.2024, 0.2049)
O (0.3290, 0.7890, 0.8229)
O (0.3743, 0.6065, 0.5819)
O (0.4902, 0.4492, 0.8548)
O (0.4976, 0.9352, 0.3550)
O (0.5024, 0.0648, 0.6450)
O (0.5098, 0.5508, 0.1452)
O (0.6257, 0.3935, 0.4181)
O (0.6710, 0.2110, 0.1771)
O (0.6755, 0.7976, 0.7951)
O (0.8512, 0.5389, 0.1145)
O (0.9038, 0.9638, 0.3428)
O (0.9074, 0.2626, 0.7672)
O (0.9620, 0.6711, 0.5672)

Principal peaks in the range 10 to 80 degrees two-theta, in order of rising 2θ:
| Position (°2θ) | d/Å | intensity | (hkl) |
| --- | --- | --- | --- |
| 12.79 | 6.920 | 100.0 | 0 1 1 |
| 16.85 | 5.262 | 29.3 | 1 -1 0 |
| 23.07 | 3.855 | 19.7 | 1 0 2 |
| 24.37 | 3.653 | 42.4 | 2 1 1 |
| 24.49 | 3.634 | 36.7 | 1 1 -1 |
| 26.46 | 3.368 | 26.7 | -1 2 1 |
| 27.17 | 3.282 | 14.0 | 2 1 2 |
| 29.29 | 3.049 | 15.4 | 0 2 -1 |
| 29.70 | 3.008 | 18.2 | 1 0 -2 |
| 34.23 | 2.620 | 21.5 | 0 3 0 |
| 38.40 | 2.344 | 15.4 | -1 3 2 |
| 43.09 | 2.099 | 14.1 | 2 -3 0 |